Record 1
For Ta5Pb11O26, a cell relaxed with PBE gives the simulated X-ray diffraction stick pattern in this record (Cu Kα, 1.54184 Å).
Neutral-atom scattering factors, no anomalous dispersion.

```
data_Ta5Pb11O26
_chemical_formula_sum 'Ta10 Pb22 O52'
_space_group_name_H-M_alt 'C 1 2/m 1'
_space_group_IT_number 12
_space_group_name_Hall '-C 2y'
_cell_length_a 13.307
_cell_length_b 7.670
_cell_length_c 13.466
_cell_angle_alpha 90.00
_cell_angle_beta 109.74
_cell_angle_gamma 90.00
loop_
_atom_site_label
_atom_site_type_symbol
_atom_site_fract_x
_atom_site_fract_y
_atom_site_fract_z
Ta1 Ta 0.000 0.000 0.000
Ta2 Ta 0.250 0.250 0.000
Ta3 Ta 0.250 0.250 0.500
Pb1 Pb 0.000 0.000 0.500
Pb2 Pb 0.000 0.500 0.000
Pb3 Pb 0.000 0.500 0.500
Pb4 Pb 0.002 0.254 0.257
Pb5 Pb 0.249 0.000 0.246
Pb6 Pb 0.249 0.000 0.743
O1 O 0.068 0.500 0.199
O2 O 0.077 0.500 0.671
O3 O 0.079 0.000 0.155
O4 O 0.093 0.285 0.467
O5 O 0.097 0.186 0.978
O6 O 0.211 0.285 0.844
O7 O 0.216 0.500 0.020
O8 O 0.217 0.211 0.345
O9 O 0.227 0.000 0.524
```

Peak list (10 most intense, 2θ = 10–90°, in order of rising 2θ)
- 28.2 deg, rel. 348, hkl 0 0 4
- 28.4 deg, rel. 1000, hkl 4 0 0
- 32.7 deg, rel. 189, hkl 4 0 -4
- 33.0 deg, rel. 368, hkl 2 2 2
- 46.9 deg, rel. 190, hkl 2 2 -6
- 47.2 deg, rel. 93, hkl 4 0 4
- 47.4 deg, rel. 295, hkl 0 4 0
- 55.8 deg, rel. 203, hkl 6 2 -6
- 56.1 deg, rel. 157, hkl 8 0 -4
- 56.2 deg, rel. 208, hkl 4 4 0

Record 2
For Ta2PbO6, a cell relaxed with PBE gives the simulated X-ray diffraction stick pattern in this record (Cu Kα, 1.54184 Å).
Neutral-atom scattering factors, no anomalous dispersion.

```
data_Ta2PbO6
_chemical_formula_sum 'Ta8 Pb4 O24'
_space_group_name_H-M_alt 'P b c n'
_space_group_IT_number 60
_space_group_name_Hall '-P 2n 2ab'
_cell_length_a 15.900
_cell_length_b 6.133
_cell_length_c 5.274
_cell_angle_alpha 90.00
_cell_angle_beta 90.00
_cell_angle_gamma 90.00
loop_
_atom_site_label
_atom_site_type_symbol
_atom_site_fract_x
_atom_site_fract_y
_atom_site_fract_z
Ta1 Ta 0.171 0.175 0.229
Pb1 Pb 0.000 0.295 0.750
O1 O 0.093 0.375 0.133
O2 O 0.114 0.075 0.535
O3 O 0.245 0.143 0.908
```

Peak list (10 most intense, 2θ = 10–90°, in order of rising 2θ)
- 22.2 deg, rel. 185, hkl 3 1 0
- 28.0 deg, rel. 1000, hkl 3 1 1
- 29.1 deg, rel. 118, hkl 0 2 0
- 33.8 deg, rel. 276, hkl 6 0 0
- 34.0 deg, rel. 150, hkl 0 0 2
- 47.7 deg, rel. 114, hkl 3 3 0
- 48.6 deg, rel. 159, hkl 6 2 1
- 48.7 deg, rel. 136, hkl 6 0 2
- 57.0 deg, rel. 135, hkl 9 1 1
- 57.2 deg, rel. 130, hkl 3 1 3

Record 3
For Ta6Pb4O19, a cell relaxed with PBE gives the simulated X-ray diffraction stick pattern in this record (Cu Kα, 1.54184 Å).
Neutral-atom scattering factors, no anomalous dispersion.

```
data_Ta6Pb4O19
_chemical_formula_sum 'Ta24 Pb16 O76'
_space_group_name_H-M_alt 'I m m a'
_space_group_IT_number 74
_space_group_name_Hall '-I 2b 2'
_cell_length_a 7.519
_cell_length_b 22.584
_cell_length_c 10.654
_cell_angle_alpha 90.00
_cell_angle_beta 90.00
_cell_angle_gamma 90.00
loop_
_atom_site_label
_atom_site_type_symbol
_atom_site_fract_x
_atom_site_fract_y
_atom_site_fract_z
Ta1 Ta 0.000 0.000 0.000
Ta2 Ta 0.000 0.165 0.003
Ta3 Ta 0.250 0.082 0.750
Ta4 Ta 0.250 0.250 0.250
Pb1 Pb 0.000 0.000 0.500
Pb2 Pb 0.000 0.166 0.484
Pb3 Pb 0.250 0.250 0.750
O1 O 0.000 0.081 0.685
O2 O 0.000 0.084 0.055
O3 O 0.000 0.250 0.315
O4 O 0.000 0.250 0.592
O5 O 0.000 0.250 0.931
O6 O 0.191 0.147 0.873
O7 O 0.191 0.189 0.123
O8 O 0.195 0.021 0.879
```

Peak list (10 most intense, 2θ = 10–90°, in order of rising 2θ)
- 14.4 deg, rel. 128, hkl 0 3 1
- 27.8 deg, rel. 61, hkl 2 3 1
- 29.1 deg, rel. 1000, hkl 2 0 2
- 33.7 deg, rel. 398, hkl 2 6 0
- 48.4 deg, rel. 415, hkl 4 0 0
- 57.4 deg, rel. 145, hkl 2 0 6
- 57.4 deg, rel. 303, hkl 2 12 2
- 60.2 deg, rel. 126, hkl 0 12 4
- 78.3 deg, rel. 148, hkl 0 18 2
- 80.7 deg, rel. 136, hkl 2 18 0

Record 4
For TcPbO3, a cell relaxed with PBE gives the simulated X-ray diffraction stick pattern in this record (Cu Kα, 1.54184 Å).
Neutral-atom scattering factors, no anomalous dispersion.

abc: 10.461 10.461 10.461
angles: 90.00 90.00 90.00
Space group Fd-3m (No. 227, origin choice 2)
Inequivalent atoms, fractional coordinates:
Tc1 0.000 0.000 0.000 x16
Pb1 0.000 0.000 0.500 x16
O1 0.069 0.375 0.375 x48

Peak list (10 most intense, 2θ = 10–90°, in order of rising 2θ)
- 14.7 deg, rel. 68, hkl 1 1 1
- 28.3 deg, rel. 86, hkl 3 1 1
- 29.6 deg, rel. 1000, hkl 2 2 2
- 34.3 deg, rel. 396, hkl 4 0 0
- 37.5 deg, rel. 81, hkl 3 3 1
- 49.3 deg, rel. 419, hkl 4 4 0
- 58.5 deg, rel. 443, hkl 6 2 2
- 61.4 deg, rel. 122, hkl 4 4 4
- 80.0 deg, rel. 184, hkl 6 6 2
- 82.5 deg, rel. 168, hkl 8 4 0

Record 5
For TePbO3, a cell relaxed with PBE gives the simulated X-ray diffraction stick pattern in this record (Cu Kα, 1.54184 Å).
Neutral-atom scattering factors, no anomalous dispersion.

```
data_TePbO3
_chemical_formula_sum 'Te4 Pb4 O12'
_space_group_name_H-M_alt 'P 41'
_space_group_IT_number 76
_space_group_name_Hall 'P 4w'
_cell_length_a 5.431
_cell_length_b 5.431
_cell_length_c 12.177
_cell_angle_alpha 90.00
_cell_angle_beta 90.00
_cell_angle_gamma 90.00
loop_
_atom_site_label
_atom_site_type_symbol
_atom_site_fract_x
_atom_site_fract_y
_atom_site_fract_z
Te1 Te 0.245 0.750 0.000
Pb1 Pb 0.256 0.741 0.510
O1 O 0.020 0.625 0.105
O2 O 0.108 0.479 0.348
O3 O 0.380 0.436 0.962
```

Peak list (10 most intense, 2θ = 10–90°, in order of rising 2θ)
- 27.5 deg, rel. 1000, hkl 1 1 2
- 29.3 deg, rel. 187, hkl 0 0 4
- 33.0 deg, rel. 267, hkl 2 0 0
- 44.7 deg, rel. 283, hkl 2 0 4
- 47.3 deg, rel. 117, hkl 2 2 0
- 50.9 deg, rel. 179, hkl 1 1 6
- 55.6 deg, rel. 298, hkl 3 1 2
- 56.7 deg, rel. 132, hkl 2 2 4
- 72.0 deg, rel. 136, hkl 1 3 6
- 86.2 deg, rel. 81, hkl 2 4 4

Record 6
For TePbO3, a cell relaxed with PBE gives the simulated X-ray diffraction stick pattern in this record (Cu Kα, 1.54184 Å).
Neutral-atom scattering factors, no anomalous dispersion.

```
data_TePbO3
_chemical_formula_sum 'Te24 Pb24 O72'
_space_group_name_H-M_alt 'C 1 2/c 1'
_space_group_IT_number 15
_space_group_name_Hall '-C 2yc'
_cell_length_a 27.255
_cell_length_b 4.665
_cell_length_c 18.529
_cell_angle_alpha 90.00
_cell_angle_beta 107.30
_cell_angle_gamma 90.00
loop_
_atom_site_label
_atom_site_type_symbol
_atom_site_fract_x
_atom_site_fract_y
_atom_site_fract_z
Te1 Te 0.048 0.234 0.371
Te2 Te 0.070 0.255 0.708
Te3 Te 0.208 0.307 0.594
Pb1 Pb 0.065 0.222 0.046
Pb2 Pb 0.160 0.247 0.911
Pb3 Pb 0.184 0.206 0.235
O1 O 0.022 0.187 0.455
O2 O 0.056 0.363 0.871
O3 O 0.065 0.344 0.191
O4 O 0.095 0.176 0.624
O5 O 0.118 0.165 0.427
O6 O 0.137 0.232 0.781
O7 O 0.185 0.313 0.099
O8 O 0.221 0.129 0.397
O9 O 0.222 0.222 0.700
```

Peak list (10 most intense, 2θ = 10–90°, in order of rising 2θ)
- 24.6 deg, rel. 198, hkl 3 1 -3
- 25.1 deg, rel. 248, hkl 5 1 -1
- 27.1 deg, rel. 1000, hkl 5 1 -3
- 27.4 deg, rel. 446, hkl 8 0 0
- 28.2 deg, rel. 999, hkl 3 1 3
- 29.0 deg, rel. 375, hkl 2 0 -6
- 29.3 deg, rel. 168, hkl 4 0 -6
- 30.3 deg, rel. 189, hkl 0 0 6
- 38.6 deg, rel. 347, hkl 0 2 0
- 41.7 deg, rel. 181, hkl 11 1 -1